Record 1
The following is a calculated X-ray powder pattern of Ce4TlGe2. It was derived from a DFT-relaxed cell (PBE, Alexandria), using λ = 1.5418 Å (Cu Kα).
Neutral-atom scattering factors, no anomalous dispersion.

Top 12 peaks for 10 to 80 degrees two-theta, sorted by position:
| 2theta | d/Å | intensity | index |
| --- | --- | --- | --- |
| 24.44 | 3.642 | 16.2 | 1 0 1 |
| 26.98 | 3.305 | 95.8 | 0 1 5 |
| 33.79 | 2.653 | 100.0 | 1 0 10 |
| 35.48 | 2.530 | 29.0 | 0 1 11 |
| 41.04 | 2.199 | 16.7 | 0 1 14 |
| 42.81 | 2.112 | 69.1 | 1 1 0 |
| 51.33 | 1.780 | 16.5 | 2 0 5 |
| 55.62 | 1.653 | 24.1 | 0 2 10 |
| 67.64 | 1.385 | 13.5 | 1 1 21 |
| 69.00 | 1.361 | 13.7 | 1 2 5 |
| 72.64 | 1.302 | 21.6 | 2 1 10 |
| 78.42 | 1.220 | 11.7 | 3 0 0 |

Cell and atoms:
Cell: 4.2246 4.2246 38.5290 Å, 90.00 90.00 120.00°
Space group R-3m (No. 166, hexagonal axes)
Asymmetric unit:
Ce (0.0000, 0.0000, 0.1078)
Ce (0.0000, 0.0000, 0.3128)
Tl (0.0000, 0.0000, 0.5000)
Ge (0.0000, 0.0000, 0.3972)


Record 2
The following is a calculated X-ray powder pattern of Ce7TlGe5. It was derived from a DFT-relaxed cell (PBE, Alexandria), using λ = 1.5418 Å (Cu Kα).
Neutral-atom scattering factors, no anomalous dispersion.

Top 12 peaks for 10 to 80 degrees two-theta, sorted by position:
| 2theta | d/Å | intensity | index |
| --- | --- | --- | --- |
| 29.03 | 3.076 | 96.3 | 1 3 0 |
| 29.40 | 3.038 | 64.3 | 2 0 0 |
| 30.13 | 2.967 | 58.8 | 1 0 3 |
| 33.49 | 2.675 | 30.3 | 0 4 0 |
| 33.93 | 2.642 | 42.2 | 2 2 0 |
| 34.04 | 2.634 | 100.0 | 1 3 2 |
| 34.36 | 2.610 | 42.1 | 2 0 2 |
| 34.57 | 2.594 | 48.8 | 1 2 3 |
| 35.20 | 2.549 | 45.7 | 0 0 4 |
| 38.37 | 2.346 | 75.8 | 2 2 2 |
| 45.66 | 1.987 | 34.3 | 1 4 3 |
| 60.16 | 1.538 | 40.6 | 2 6 0 |

Cell and atoms:
Cell: 6.0760 10.7015 10.1976 Å, 90.00 90.00 90.00°
Space group Imm2 (No. 44)
Asymmetric unit:
Ce (0.0000, 0.0000, 0.0000)
Ce (0.0000, 0.0000, 0.3667)
Ce (0.0000, 0.3213, 0.6801)
Ce (0.0000, 0.3340, 0.1413)
Ce (0.0000, 0.5000, 0.3498)
Tl (0.0000, 0.0000, 0.6766)
Ge (0.0000, 0.5000, 0.9031)
Ge (0.2243, 0.2579, 0.4175)


Record 3
The following is a calculated X-ray powder pattern of Ce3TmGe2. It was derived from a DFT-relaxed cell (PBE, Alexandria), using λ = 1.5418 Å (Cu Kα).
Neutral-atom scattering factors, no anomalous dispersion.

Top 12 peaks for 10 to 80 degrees two-theta, sorted by position:
| 2theta | d/Å | intensity | index |
| --- | --- | --- | --- |
| 29.80 | 2.998 | 40.2 | 1 1 -2 |
| 30.60 | 2.921 | 26.8 | 3 1 -2 |
| 31.39 | 2.849 | 28.6 | 6 0 -1 |
| 32.11 | 2.787 | 53.5 | 6 0 -2 |
| 32.56 | 2.750 | 100.0 | 3 1 1 |
| 33.33 | 2.688 | 46.7 | 1 1 2 |
| 34.02 | 2.635 | 21.4 | 5 1 -1 |
| 35.47 | 2.531 | 37.8 | 5 1 -2 |
| 36.22 | 2.480 | 28.8 | 5 1 0 |
| 37.47 | 2.400 | 59.6 | 3 1 -3 |
| 44.11 | 2.053 | 46.6 | 0 2 0 |
| 55.60 | 1.653 | 22.5 | 6 2 -2 |

Cell and atoms:
Cell: 17.1965 4.1058 8.9217 Å, 90.00 115.22 90.00°
Space group C2/m (No. 12)
Asymmetric unit:
Ce (0.0695, 0.0000, 0.4383)
Ce (0.1209, 0.5000, 0.6794)
Ce (0.2187, 0.5000, 0.3952)
Tm (0.1088, 0.0000, 0.0303)
Ge (0.0222, 0.5000, 0.1669)
Ge (0.2478, 0.5000, 0.0911)


Record 4
The following is a calculated X-ray powder pattern of Ce3VGe5. It was derived from a DFT-relaxed cell (PBE, Alexandria), using λ = 1.5418 Å (Cu Kα).
Neutral-atom scattering factors, no anomalous dispersion.

Top 12 peaks for 10 to 80 degrees two-theta, sorted by position:
| 2theta | d/Å | intensity | index |
| --- | --- | --- | --- |
| 25.77 | 3.457 | 34.1 | 1 1 1 |
| 31.41 | 2.848 | 31.0 | 0 0 2 |
| 35.24 | 2.547 | 100.0 | 2 1 1 |
| 35.76 | 2.511 | 77.7 | 3 0 0 |
| 37.75 | 2.383 | 90.7 | 1 1 2 |
| 44.60 | 2.031 | 16.2 | 2 2 1 |
| 46.29 | 1.961 | 26.7 | 3 1 1 |
| 52.98 | 1.728 | 23.9 | 2 2 2 |
| 58.42 | 1.580 | 26.4 | 2 1 3 |
| 65.56 | 1.424 | 24.4 | 0 0 4 |
| 70.74 | 1.332 | 16.8 | 5 0 2 |
| 76.97 | 1.239 | 16.3 | 3 0 4 |

Cell and atoms:
Cell: 8.6976 8.6976 5.6973 Å, 90.00 90.00 120.00°
Space group P6_3/mcm (No. 193)
Asymmetric unit:
Ce (0.0000, 0.3852, 0.2500)
V (0.0000, 0.0000, 0.0000)
Ge (0.0000, 0.2479, 0.7500)
Ge (0.3333, 0.6667, 0.0000)


Record 5
The following is a calculated X-ray powder pattern of Ce4ZnGe3. It was derived from a DFT-relaxed cell (PBE, Alexandria), using λ = 1.5418 Å (Cu Kα).
Neutral-atom scattering factors, no anomalous dispersion.

Top 12 peaks for 10 to 80 degrees two-theta, sorted by position:
| 2theta | d/Å | intensity | index |
| --- | --- | --- | --- |
| 27.06 | 3.296 | 19.7 | 1 0 2 |
| 31.03 | 2.882 | 100.0 | 1 1 1 |
| 31.68 | 2.825 | 41.8 | 0 1 3 |
| 32.20 | 2.780 | 25.8 | 0 0 4 |
| 38.74 | 2.325 | 50.1 | 1 1 3 |
| 39.18 | 2.299 | 21.0 | 1 0 4 |
| 41.40 | 2.181 | 25.5 | 0 2 0 |
| 44.27 | 2.046 | 21.0 | 2 0 0 |
| 55.46 | 1.657 | 17.0 | 2 1 3 |
| 62.20 | 1.492 | 29.7 | 2 2 0 |
| 71.77 | 1.315 | 14.9 | 2 2 4 |
| 79.48 | 1.206 | 14.3 | 2 1 7 |

Cell and atoms:
Cell: 4.0918 4.3620 11.1200 Å, 90.00 90.00 90.00°
Space group Pmm2 (No. 25)
Asymmetric unit:
Ce (0.0000, 0.0000, 0.0000)
Ce (0.0000, 0.5000, 0.4982)
Ce (0.5000, 0.0000, 0.2824)
Ce (0.5000, 0.5000, 0.7832)
Zn (0.5000, 0.0000, 0.5714)
Ge (0.0000, 0.0000, 0.7170)
Ge (0.0000, 0.5000, 0.2205)
Ge (0.5000, 0.5000, 0.0611)


Record 6
The following is a calculated X-ray powder pattern of Ce7Zn2Ge2. It was derived from a DFT-relaxed cell (PBE, Alexandria), using λ = 1.5418 Å (Cu Kα).
Neutral-atom scattering factors, no anomalous dispersion.

Top 12 peaks for 10 to 80 degrees two-theta, sorted by position:
| 2theta | d/Å | intensity | index |
| --- | --- | --- | --- |
| 25.70 | 3.466 | 44.1 | 2 0 1 |
| 27.89 | 3.199 | 100.0 | 2 2 0 |
| 29.26 | 3.053 | 47.9 | 1 1 2 |
| 30.73 | 2.909 | 26.4 | 0 2 2 |
| 33.59 | 2.668 | 69.6 | 0 4 0 |
| 37.91 | 2.373 | 43.1 | 1 3 2 |
| 38.25 | 2.353 | 66.7 | 2 2 2 |
| 38.89 | 2.316 | 22.8 | 0 0 3 |
| 45.37 | 1.999 | 21.6 | 4 0 0 |
| 48.53 | 1.876 | 42.1 | 2 2 3 |
| 61.26 | 1.513 | 20.2 | 4 0 3 |
| 71.71 | 1.316 | 21.9 | 4 4 3 |

Cell and atoms:
Cell: 7.9960 10.6707 6.9470 Å, 90.00 90.00 90.00°
Space group Cmmm (No. 65)
Asymmetric unit:
Ce (0.0000, 0.0000, 0.0000)
Ce (0.0000, 0.5000, 0.2987)
Ce (0.2500, 0.2500, 0.3055)
Zn (0.0000, 0.2928, 0.0000)
Ge (0.1568, 0.0000, 0.5000)


Record 7
The following is a calculated X-ray powder pattern of Ce2ZnGe3. It was derived from a DFT-relaxed cell (PBE, Alexandria), using λ = 1.5418 Å (Cu Kα).
Neutral-atom scattering factors, no anomalous dispersion.

Top 12 peaks for 10 to 80 degrees two-theta, sorted by position:
| 2theta | d/Å | intensity | index |
| --- | --- | --- | --- |
| 23.94 | 3.717 | 10.2 | 0 1 1 |
| 32.33 | 2.769 | 100.0 | 1 1 1 |
| 32.59 | 2.748 | 49.8 | 1 0 2 |
| 41.89 | 2.156 | 22.5 | 0 2 0 |
| 42.52 | 2.126 | 42.1 | 0 1 3 |
| 43.61 | 2.076 | 20.0 | 2 0 0 |
| 54.06 | 1.696 | 23.4 | 1 2 2 |
| 54.75 | 1.677 | 10.4 | 1 0 4 |
| 62.06 | 1.495 | 13.8 | 2 2 0 |
| 62.54 | 1.485 | 26.3 | 2 1 3 |
| 70.50 | 1.336 | 10.2 | 1 3 1 |
| 71.69 | 1.316 | 9.6 | 1 1 5 |

Cell and atoms:
Cell: 4.1511 4.3128 7.3305 Å, 90.00 90.00 90.00°
Space group Pmm2 (No. 25)
Asymmetric unit:
Ce (0.0000, 0.0000, 0.0000)
Ce (0.0000, 0.5000, 0.4821)
Zn (0.5000, 0.5000, 0.8185)
Ge (0.5000, 0.0000, 0.3263)
Ge (0.5000, 0.0000, 0.6660)
Ge (0.5000, 0.5000, 0.1501)


Record 8
The following is a calculated X-ray powder pattern of Ce3ZnGe. It was derived from a DFT-relaxed cell (PBE, Alexandria), using λ = 1.5418 Å (Cu Kα).
Neutral-atom scattering factors, no anomalous dispersion.

Top 12 peaks for 10 to 80 degrees two-theta, sorted by position:
| 2theta | d/Å | intensity | index |
| --- | --- | --- | --- |
| 27.89 | 3.199 | 31.8 | 0 2 2 |
| 29.25 | 3.053 | 79.6 | 0 3 1 |
| 30.98 | 2.887 | 32.7 | 2 0 0 |
| 33.16 | 2.702 | 71.4 | 0 1 3 |
| 34.07 | 2.631 | 100.0 | 2 1 1 |
| 35.53 | 2.527 | 42.3 | 1 0 3 |
| 36.09 | 2.489 | 29.0 | 2 2 0 |
| 37.77 | 2.382 | 32.2 | 2 0 2 |
| 38.13 | 2.360 | 95.9 | 1 3 2 |
| 41.36 | 2.183 | 63.0 | 1 4 1 |
| 53.41 | 1.715 | 24.0 | 2 3 3 |
| 59.91 | 1.544 | 25.2 | 3 3 2 |

Cell and atoms:
Cell: 5.7738 9.8251 8.4304 Å, 90.00 90.00 90.00°
Space group Imma (No. 74)
Asymmetric unit:
Ce (0.0000, 0.0984, 0.1232)
Ce (0.2500, 0.2500, 0.7500)
Zn (0.0000, 0.2500, 0.4251)
Ge (0.0000, 0.0000, 0.5000)


Record 9
The following is a calculated X-ray powder pattern of Ce5ZnGe5. It was derived from a DFT-relaxed cell (PBE, Alexandria), using λ = 1.5418 Å (Cu Kα).
Neutral-atom scattering factors, no anomalous dispersion.

Top 12 peaks for 10 to 80 degrees two-theta, sorted by position:
| 2theta | d/Å | intensity | index |
| --- | --- | --- | --- |
| 23.87 | 3.727 | 25.9 | 3 1 0 |
| 28.71 | 3.110 | 19.3 | 2 0 -2 |
| 30.26 | 2.954 | 34.9 | 3 1 1 |
| 32.75 | 2.734 | 100.0 | 0 2 0 |
| 33.65 | 2.663 | 27.0 | 5 1 -1 |
| 34.47 | 2.602 | 27.4 | 3 1 -2 |
| 34.68 | 2.587 | 16.6 | 6 0 -1 |
| 35.24 | 2.547 | 32.8 | 6 0 0 |
| 35.41 | 2.535 | 81.8 | 1 1 2 |
| 39.83 | 2.263 | 31.3 | 5 1 -2 |
| 48.87 | 1.864 | 25.7 | 6 2 0 |
| 60.22 | 1.537 | 22.2 | 1 3 2 |

Cell and atoms:
Cell: 15.7625 5.4682 6.2972 Å, 90.00 104.21 90.00°
Space group C2/m (No. 12)
Asymmetric unit:
Ce (0.0000, 0.0000, 0.0000)
Ce (0.1282, 0.5000, 0.1981)
Ce (0.1898, 0.5000, 0.7211)
Zn (0.0000, 0.0000, 0.5000)
Ge (0.0000, 0.5000, 0.5000)
Ge (0.1542, 0.0000, 0.4515)
Ge (0.1689, 0.0000, 0.8861)


Record 10
The following is a calculated X-ray powder pattern of Ce3ZrGe6. It was derived from a DFT-relaxed cell (PBE, Alexandria), using λ = 1.5418 Å (Cu Kα).
Neutral-atom scattering factors, no anomalous dispersion.

Top 12 peaks for 10 to 80 degrees two-theta, sorted by position:
| 2theta | d/Å | intensity | index |
| --- | --- | --- | --- |
| 27.86 | 3.203 | 25.7 | 1 1 3 |
| 32.23 | 2.778 | 12.2 | 1 0 4 |
| 33.35 | 2.686 | 100.0 | 1 3 1 |
| 35.90 | 2.501 | 60.5 | 0 2 4 |
| 36.04 | 2.492 | 84.3 | 3 1 2 |
| 46.04 | 1.971 | 20.4 | 1 2 5 |
| 48.06 | 1.893 | 24.2 | 4 1 3 |
| 53.38 | 1.716 | 13.4 | 3 3 3 |
| 53.64 | 1.709 | 16.6 | 1 5 2 |
| 57.82 | 1.595 | 15.5 | 5 2 0 |
| 66.02 | 1.415 | 10.9 | 1 5 5 |
| 69.10 | 1.359 | 12.0 | 3 3 6 |

Cell and atoms:
Cell: 11.4985 11.4985 11.5705 Å, 90.00 90.00 120.00°
Space group R-3c (No. 167, hexagonal axes)
Asymmetric unit:
Ce (0.0000, 0.4327, 0.2500)
Zr (0.0000, 0.0000, 0.0000)
Ge (0.0670, 0.2125, 0.3439)


Record 11
The following is a calculated X-ray powder pattern of Ce5H6. It was derived from a DFT-relaxed cell (PBE, Alexandria), using λ = 1.5418 Å (Cu Kα).
Neutral-atom scattering factors, no anomalous dispersion.

Top 12 peaks for 10 to 80 degrees two-theta, sorted by position:
| 2theta | d/Å | intensity | index |
| --- | --- | --- | --- |
| 30.21 | 2.958 | 62.2 | 1 0 3 |
| 30.76 | 2.907 | 100.0 | 0 1 5 |
| 31.54 | 2.836 | 48.3 | 0 2 0 |
| 32.01 | 2.796 | 65.9 | 1 1 2 |
| 37.05 | 2.426 | 12.5 | 1 1 4 |
| 44.24 | 2.047 | 42.5 | 1 2 3 |
| 53.20 | 1.722 | 32.7 | 1 1 8 |
| 55.68 | 1.651 | 18.8 | 0 3 5 |
| 56.46 | 1.630 | 13.0 | 1 3 2 |
| 62.28 | 1.491 | 27.0 | 2 1 5 |
| 62.73 | 1.481 | 13.6 | 2 2 0 |
| 72.33 | 1.306 | 12.9 | 1 3 8 |

Cell and atoms:
Cell: 3.4734 5.6730 16.9248 Å, 90.00 90.00 90.00°
Space group Immm (No. 71)
Asymmetric unit:
Ce (0.0000, 0.0000, 0.0000)
Ce (0.0000, 0.0000, 0.3885)
Ce (0.0000, 0.5000, 0.3013)
H (0.0000, 0.2129, 0.1222)
H (0.0000, 0.2323, 0.5000)


Record 12
The following is a calculated X-ray powder pattern of Ce2H5. It was derived from a DFT-relaxed cell (PBE, Alexandria), using λ = 1.5418 Å (Cu Kα).
Neutral-atom scattering factors, no anomalous dispersion.

Top 12 peaks for 10 to 80 degrees two-theta, sorted by position:
| 2theta | d/Å | intensity | index |
| --- | --- | --- | --- |
| 28.52 | 3.130 | 100.0 | 1 1 2 |
| 29.70 | 3.008 | 0.7 | 1 0 3 |
| 33.05 | 2.710 | 49.8 | 2 0 0 |
| 45.02 | 2.014 | 1.2 | 1 0 5 |
| 47.44 | 1.916 | 38.4 | 2 2 0 |
| 56.29 | 1.634 | 43.7 | 3 1 2 |
| 56.97 | 1.616 | 0.8 | 2 1 5 |
| 59.03 | 1.565 | 12.5 | 2 2 4 |
| 69.35 | 1.355 | 5.9 | 4 0 0 |
| 72.38 | 1.306 | 0.7 | 2 1 7 |
| 76.62 | 1.244 | 17.2 | 3 3 2 |
| 79.00 | 1.212 | 15.8 | 4 2 0 |

Cell and atoms:
Cell: 5.4188 5.4188 10.8479 Å, 90.00 90.00 90.00°
Space group I4_1/amd (No. 141, origin choice 2)
Asymmetric unit:
Ce (0.0000, 0.2500, 0.1180)
H (0.0000, 0.2500, 0.8750)
H (0.2291, 0.0000, 0.5000)


Record 13
The following is a calculated X-ray powder pattern of Ce4H11. It was derived from a DFT-relaxed cell (PBE, Alexandria), using λ = 1.5418 Å (Cu Kα).
Neutral-atom scattering factors, no anomalous dispersion.

Top 12 peaks for 10 to 80 degrees two-theta, sorted by position:
| 2theta | d/Å | intensity | index |
| --- | --- | --- | --- |
| 28.57 | 3.125 | 100.0 | 1 1 2 |
| 33.02 | 2.712 | 34.1 | 2 0 0 |
| 33.26 | 2.694 | 16.3 | 0 0 4 |
| 47.40 | 1.918 | 13.2 | 2 2 0 |
| 47.57 | 1.911 | 25.6 | 2 0 4 |
| 56.28 | 1.635 | 30.0 | 3 1 2 |
| 56.59 | 1.626 | 14.1 | 1 1 6 |
| 59.13 | 1.562 | 12.6 | 2 2 4 |
| 76.58 | 1.244 | 6.0 | 3 3 2 |
| 76.85 | 1.240 | 11.5 | 3 1 6 |
| 78.92 | 1.213 | 5.6 | 4 2 0 |
| 79.05 | 1.211 | 5.5 | 4 0 4 |

Cell and atoms:
Cell: 5.4249 5.4249 10.7754 Å, 90.00 90.00 90.00°
Space group I4/mmm (No. 139)
Asymmetric unit:
Ce (0.0000, 0.0000, 0.2416)
Ce (0.0000, 0.5000, 0.0000)
H (0.0000, 0.0000, 0.0000)
H (0.0000, 0.5000, 0.2500)
H (0.2367, 0.2367, 0.3784)